Entry 1:
This entry pairs a crystal structure of NdZn2B2O6 with its computed powder diffractogram. Radiation: Cu Kα (weighted mean of Kα1 and Kα2). Structure: the PBE geometry in Alexandria.

Most intense lines, 2θ from 10° to 90°, in order of rising 2θ:
(hkl)  2θ/deg  I/Imax
0 0 1  12.2  37
0 1 1  23.7  100
1 0 2  32.0  79
1 1 0  35.5  36
2 0 1  43.1  28
0 2 2  48.5  18
1 1 3  52.2  30
0 1 4  54.6  12
1 2 1  57.0  23
3 -1 2  61.5  19

Cell and atoms:
Cell lengths 5.0635, 5.0635, 7.2774 Å; angles 90.00, 90.00, 120.00 degrees
Space group P-3 (No. 147)
One atom of each set of equivalent atoms:
Nd 0.0000 0.0000 0.0000
Zn 0.3333 0.6667 0.3134
B 0.3333 0.6667 0.7902
O 0.0550 0.6571 0.7964


Entry 2:
This entry pairs a crystal structure of Nd3B4Os2 with its computed powder diffractogram. Radiation: Cu Kα (weighted mean of Kα1 and Kα2). Structure: the PBE geometry in Alexandria.

Most intense lines, 2θ from 10° to 90°, in order of rising 2θ:
(hkl)  2θ/deg  I/Imax
2 0 -1  15.8  35
2 0 1  25.7  21
1 1 1  29.2  21
4 0 -2  31.9  62
1 1 -2  32.2  92
3 1 0  34.4  100
2 0 2  37.1  17
0 2 0  45.9  27
4 2 -2  57.0  24
7 1 -2  60.0  27

Cell and atoms:
Cell lengths 11.7406, 3.9532, 7.9104 Å; angles 90.00, 117.84, 90.00 degrees
Space group C2/m (No. 12)
One atom of each set of equivalent atoms:
Nd 0.0000 0.0000 0.0000
Nd 0.1378 0.5000 0.7433
B 0.1282 0.0000 0.4036
B 0.1815 0.5000 0.1163
Os 0.1790 0.5000 0.3620


Entry 3:
This entry pairs a crystal structure of Nd2BPRh6 with its computed powder diffractogram. Radiation: Cu Kα (weighted mean of Kα1 and Kα2). Structure: the PBE geometry in Alexandria.

Most intense lines, 2θ from 10° to 90°, in order of rising 2θ:
(hkl)  2θ/deg  I/Imax
1 0 2  28.9  3
1 1 2  35.5  100
2 0 0  41.1  40
0 0 4  41.5  18
2 2 0  59.6  13
2 0 4  59.9  25
3 1 2  71.3  26
1 1 6  71.9  11
2 2 4  75.2  12
4 0 0  89.3  4

Cell and atoms:
Cell lengths 4.3896, 4.3896, 8.6972 Å; angles 90.00, 90.00, 90.00 degrees
Space group P4/mmm (No. 123)
One atom of each set of equivalent atoms:
Nd 0.0000 0.0000 0.2388
B 0.5000 0.5000 0.0000
P 0.5000 0.5000 0.5000
Rh 0.0000 0.5000 0.0000
Rh 0.0000 0.5000 0.5000
Rh 0.5000 0.5000 0.2392